1.
Structure and simulated powder XRD pattern of TbTm3Ir2 (the GGA-PBE geometry in Alexandria; Cu Ka).
Lines closer than 0.1° are merged.

Main lines, in order of rising 2θ (2θ = 10–90°):
d [Å]	2θ (°)	I_rel
3.927	22.64	100
3.010	29.68	23
2.547	35.24	61
2.423	37.10	50
2.414	37.25	50
2.379	37.82	94
2.273	39.65	26
1.862	48.91	21
1.740	52.61	22
1.404	66.60	36

Crystal structure
Cell lengths 8.303, 8.303, 8.303 Å; angles 132.38, 71.17, 130.45 degrees
Fractional positions:
Tb (0.000, 0.000, 0.000)
Tb (0.500, 0.500, 0.000)
Tm (0.015, 0.250, 0.765)
Tm (0.250, 0.750, 0.500)
Tm (0.485, 0.250, 0.235)
Tm (0.515, 0.750, 0.765)
Tm (0.750, 0.250, 0.500)
Tm (0.985, 0.750, 0.235)
Ir (0.139, 0.712, 0.850)
Ir (0.361, 0.212, 0.573)
Ir (0.639, 0.788, 0.427)
Ir (0.861, 0.288, 0.150)

***

2.
Structure and simulated powder XRD pattern of TbTm3Ir4 (the GGA-PBE geometry in Alexandria; Cu Ka).
Lines closer than 0.1° are merged.

Main lines, in order of rising 2θ (2θ = 10–90°):
d [Å]	2θ (°)	I_rel
3.449	25.83	1
2.439	36.86	53
2.381	37.78	100
1.724	53.11	19
1.646	55.85	8
1.397	67.00	38
1.364	68.81	17
1.219	78.43	6
1.191	80.70	11
1.091	89.96	9

Crystal structure
Cell lengths 4.877, 4.877, 6.585 Å; angles 90.00, 90.00, 90.00 degrees
Fractional positions:
Tb (0.000, 0.000, 0.000)
Tm (0.000, 0.000, 0.500)
Tm (0.500, 0.500, 0.000)
Tm (0.500, 0.500, 0.500)
Ir (0.000, 0.500, 0.253)
Ir (0.000, 0.500, 0.747)
Ir (0.500, 0.000, 0.253)
Ir (0.500, 0.000, 0.747)

***

3.
Structure and simulated powder XRD pattern of TbTm2Ir3 (the GGA-PBE geometry in Alexandria; Cu Ka).
Lines closer than 0.1° are merged.

Main lines, in order of rising 2θ (2θ = 10–90°):
d [Å]	2θ (°)	I_rel
3.403	26.19	1
2.406	37.37	100
1.701	53.89	18
1.389	67.42	36
1.203	79.70	11

Crystal structure
Cell lengths 4.811, 4.811, 5.896 Å; angles 90.00, 90.00, 120.00 degrees
Fractional positions:
Tb (0.000, 0.000, 0.000)
Tm (0.333, 0.667, 0.665)
Tm (0.667, 0.333, 0.335)
Ir (0.000, 0.000, 0.500)
Ir (0.333, 0.667, 0.170)
Ir (0.667, 0.333, 0.830)